Li2Cu3F8: simulated X-ray powder pattern (CuKα), based on a GGA-PBE-relaxed structure.
Lines closer than 0.1° are merged.

Peak list (10 most intense, 5° ≤ 2θ ≤ 70°, low angle first)
Position (°2θ), I_rel
17.09, 9
18.58, 100
32.98, 38
33.97, 9
34.57, 21
40.75, 25
41.14, 25
43.91, 23
54.44, 9
59.06, 12

Structure:
Unit cell a=5.242 b=6.103 c=6.274 alpha=61.85 beta=70.84 gamma=67.95
Positions (direct):
Li 0.154 0.106 0.056
Li 0.846 0.894 0.944
Cu 0.500 0.000 0.500
Cu 0.500 0.500 0.000
Cu 0.500 0.500 0.500
F 0.235 0.832 0.936
F 0.286 0.359 0.422
F 0.288 0.937 0.350
F 0.298 0.412 0.847
F 0.702 0.588 0.153
F 0.712 0.063 0.650
F 0.714 0.641 0.578
F 0.765 0.168 0.064